# Li2NiP4O12
Theoretical powder diffractogram, Cu Ka. Input: a structure optimized by DFT (GGA+U).
Intensities are scaled so that the largest is 100.

Principal peaks in the range 2θ from 10° to 80°, most intense first:
(hkl)  2θ/deg  d/Å  Rel. int.
1 1 0  11.64  7.600  100
2 2 -1  23.33  3.813  48
1 1 1  18.61  4.768  27
3 3 -1  34.31  2.614  16
1 1 2  29.06  3.072  15
2 0 2  35.44  2.533  14
1 5 0  33.29  2.691  12
0 2 0  12.56  7.048  12
1 3 -2  29.62  3.016  11
1 1 -2  23.49  3.787  9

Structural model:
```
data_Li2NiP4O12
_cell_length_a 9.4829
_cell_length_b 14.0969
_cell_length_c 7.9162
_cell_angle_alpha 90.00
_cell_angle_beta 107.92
_cell_angle_gamma 90.00
_symmetry_space_group_name_H-M 'C 1 c 1'
_symmetry_Int_Tables_number 9
loop_
_symmetry_equiv_pos_as_xyz
'x,y,z'
'x,-y,z+1/2'
'x+1/2,y+1/2,z'
'x+1/2,-y+1/2,z+1/2'
loop_
_atom_site_label
_atom_site_type_symbol
_atom_site_fract_x
_atom_site_fract_y
_atom_site_fract_z
Li1 Li 0.0000 0.1282 0.0000
Li2 Li 0.4497 0.2605 0.7572
Ni1 Ni 0.1691 0.3726 0.4961
P1 P 0.0266 0.4280 0.0577
P2 P 0.2839 0.1912 0.3272
P3 P 0.2906 0.4220 0.9227
P4 P 0.4922 0.2835 0.1667
O1 O 0.0393 0.4665 0.5749
O2 O 0.0406 0.3690 0.2213
O3 O 0.0420 0.2594 0.5206
O4 O 0.0939 0.1933 0.8454
O5 O 0.1261 0.1635 0.2402
O6 O 0.1390 0.3894 0.9556
O7 O 0.3046 0.3690 0.7631
O8 O 0.3080 0.4712 0.4306
O9 O 0.3224 0.2700 0.4666
O10 O 0.3550 0.2166 0.1743
O11 O 0.3693 0.0957 0.4140
O12 O 0.4134 0.3841 0.0957
```